Computed powder XRD pattern
Compound: Cd4Pt
Radiation: λ = 1.5418 Å (Cu Kα)
Structure: a crystal structure in Alexandria, relaxed with GGA-PBE
Kinematic intensities with the Lorentz-polarization factor, no thermal factor.

Atomic structure:
Cell lengths 7.7174, 7.7174, 7.7174 Å; angles 136.24, 136.24, 63.62 degrees
Fractional coordinates of all 10 atoms:
Cd: 0.1619 0.8039 0.8747
Cd: 0.2127 0.3381 0.1419
Cd: 0.3039 0.9292 0.6419
Cd: 0.4292 0.2873 0.6253
Cd: 0.5708 0.7127 0.3747
Cd: 0.6961 0.0708 0.3581
Cd: 0.7873 0.6619 0.8581
Cd: 0.8381 0.1961 0.1253
Pt: 0.1250 0.3750 0.7500
Pt: 0.8750 0.6250 0.2500

Top 10 peaks for 2θ = 15–90°, in order of falling intensity:
2θ 35.56, intensity 100.0; 2θ 40.69, intensity 78.2; 2θ 35.15, intensity 64.2; 2θ 25.77, intensity 58.6; 2θ 37.69, intensity 45.6; 2θ 52.15, intensity 38.0; 2θ 41.77, intensity 35.9; 2θ 66.92, intensity 27.2; 2θ 16.83, intensity 25.2; 2θ 34.04, intensity 21.2